1.
Computed powder X-ray diffraction pattern of CaYPtO4 for Cu Kα X-rays, from a crystal structure in Alexandria, relaxed with PBE.

Atomic structure:
Unit cell a=6.558 b=6.913 c=9.309 alpha=90.00 beta=90.00 gamma=90.00
Space group Imma (No. 74)
Inequivalent atoms, fractional coordinates:
Ca 0.000 0.250 0.145
Y 0.000 0.000 0.500
Pt 0.250 0.250 0.750
O 0.000 0.060 0.748
O 0.218 0.250 0.476

Top 8 peaks for 10 to 90 degrees two-theta, low angle first:
two_theta  I_rel  index
15.97  97  0 1 1
31.66  100  0 1 3
32.26  37  0 2 2
33.43  26  2 0 2
37.82  38  2 2 0
42.17  20  2 1 3
49.30  33  2 3 1
55.22  37  2 2 4

2.
Computed powder X-ray diffraction pattern of CaPu6O12 for Cu Kα X-rays, from a crystal structure in Alexandria, relaxed with PBE.

Atomic structure:
Unit cell a=10.1937 b=10.1937 c=9.2376 alpha=90.00 beta=90.00 gamma=120.00
Space group R-3 (No. 148, hexagonal axes)
Inequivalent atoms, fractional coordinates:
Ca 0.0000 0.0000 0.0000
Pu 0.0487 0.7930 0.6588
O 0.0370 0.8154 0.3993
O 0.0415 0.8170 0.8958

Top 8 peaks for 10 to 90 degrees two-theta, low angle first:
two_theta  I_rel  index
17.40  17  1 1 0
28.44  100  3 -1 1
29.00  32  0 0 3
33.12  50  1 2 2
47.18  30  4 1 0
47.90  29  3 -1 4
56.33  27  4 1 3
56.97  15  1 2 5